The following is a theoretical powder diffractogram of Li10ZnP4S16. It was derived from DFT lattice parameters and positions (GGA-PBE), using Cu Kα X-rays.
Lines closer than 0.1° are merged.

Most intense lines, 2θ = 10–90°, in order of rising 2θ:
- 2θ 17.67, I = 79
- 2θ 18.23, I = 85
- 2θ 26.41, I = 100
- 2θ 27.44, I = 57
- 2θ 28.90, I = 95
- 2θ 30.15, I = 72
- 2θ 31.08, I = 56
- 2θ 45.95, I = 35
- 2θ 51.95, I = 31
- 2θ 52.08, I = 29

Structural model:
Lattice parameters (Å, degrees): 6.179 7.899 13.001 89.94 89.84 89.82
Space group P1 (No. 1)
Asymmetric unit:
Li: 0.000 0.000 0.000 (multiplicity 1)
Li: 0.000 0.252 0.237 (multiplicity 1)
Li: 0.006 0.512 0.003 (multiplicity 1)
Li: 0.008 0.004 0.510 (multiplicity 1)
Li: 0.493 0.762 0.086 (multiplicity 1)
Li: 0.498 0.013 0.810 (multiplicity 1)
Li: 0.501 0.503 0.321 (multiplicity 1)
Li: 0.505 0.016 0.322 (multiplicity 1)
Li: 0.505 0.517 0.815 (multiplicity 1)
Li: 0.992 0.263 0.735 (multiplicity 1)
Zn: 0.008 0.531 0.511 (multiplicity 1)
P: 0.011 0.763 0.255 (multiplicity 1)
P: 0.012 0.759 0.750 (multiplicity 1)
P: 0.490 0.272 0.568 (multiplicity 1)
P: 0.507 0.259 0.070 (multiplicity 1)
S: 0.338 0.762 0.746 (multiplicity 1)
S: 0.343 0.761 0.259 (multiplicity 1)
S: 0.391 0.497 0.502 (multiplicity 1)
S: 0.395 0.270 0.720 (multiplicity 1)
S: 0.396 0.046 0.997 (multiplicity 1)
S: 0.396 0.057 0.500 (multiplicity 1)
S: 0.400 0.259 0.221 (multiplicity 1)
S: 0.400 0.476 0.998 (multiplicity 1)
S: 0.834 0.273 0.558 (multiplicity 1)
S: 0.841 0.257 0.066 (multiplicity 1)
S: 0.874 0.761 0.603 (multiplicity 1)
S: 0.892 0.976 0.819 (multiplicity 1)
S: 0.896 0.754 0.108 (multiplicity 1)
S: 0.898 0.544 0.824 (multiplicity 1)
S: 0.899 0.976 0.329 (multiplicity 1)
S: 0.901 0.544 0.331 (multiplicity 1)

=====

The following is a theoretical powder diffractogram of Li4ZnP2S8. It was derived from DFT lattice parameters and positions (GGA-PBE), using Cu Kα X-rays.
Lines closer than 0.1° are merged.

Most intense lines, 2θ = 10–90°, in order of rising 2θ:
- 2θ 12.11, I = 10
- 2θ 18.04, I = 61
- 2θ 28.94, I = 100
- 2θ 36.17, I = 13
- 2θ 44.53, I = 21
- 2θ 45.48, I = 13
- 2θ 49.90, I = 32
- 2θ 53.92, I = 10
- 2θ 54.04, I = 11
- 2θ 63.22, I = 8

Structural model:
Lattice parameters (Å, degrees): 5.763 9.465 11.494 90.00 90.03 90.00
Space group P2_1 (No. 4)
Asymmetric unit:
Li: 0.245 0.000 0.375 (multiplicity 2)
Li: 0.250 0.998 0.875 (multiplicity 2)
Li: 0.253 0.506 0.872 (multiplicity 2)
Li: 0.253 0.751 0.117 (multiplicity 2)
Zn: 0.252 0.490 0.376 (multiplicity 2)
P: 0.239 0.250 0.124 (multiplicity 2)
P: 0.261 0.246 0.625 (multiplicity 2)
S: 0.031 0.128 0.728 (multiplicity 2)
S: 0.037 0.134 0.230 (multiplicity 2)
S: 0.037 0.374 0.015 (multiplicity 2)
S: 0.046 0.359 0.516 (multiplicity 2)
S: 0.456 0.371 0.229 (multiplicity 2)
S: 0.460 0.133 0.019 (multiplicity 2)
S: 0.464 0.364 0.734 (multiplicity 2)
S: 0.472 0.126 0.520 (multiplicity 2)

=====

The following is a theoretical powder diffractogram of Li10ZnP4S16. It was derived from DFT lattice parameters and positions (GGA-PBE), using Cu Kα X-rays.
Lines closer than 0.1° are merged.

Most intense lines, 2θ = 10–90°, in order of rising 2θ:
- 2θ 17.62, I = 85
- 2θ 18.16, I = 53
- 2θ 18.23, I = 43
- 2θ 26.28, I = 46
- 2θ 26.38, I = 57
- 2θ 27.39, I = 57
- 2θ 28.88, I = 100
- 2θ 30.13, I = 79
- 2θ 31.03, I = 57
- 2θ 51.98, I = 46

Structural model:
Lattice parameters (Å, degrees): 6.184 10.235 10.279 78.85 89.75 89.92
Space group P1 (No. 1)
Asymmetric unit:
Li: 0.000 0.000 0.000 (multiplicity 1)
Li: 0.000 0.258 0.234 (multiplicity 1)
Li: 0.489 0.213 0.029 (multiplicity 1)
Li: 0.497 0.708 0.520 (multiplicity 1)
Li: 0.498 0.319 0.661 (multiplicity 1)
Li: 0.498 0.808 0.178 (multiplicity 1)
Li: 0.507 0.073 0.426 (multiplicity 1)
Li: 0.991 0.108 0.636 (multiplicity 1)
Li: 0.995 0.517 0.472 (multiplicity 1)
Li: 0.997 0.751 0.739 (multiplicity 1)
Zn: 0.497 0.571 0.936 (multiplicity 1)
P: 0.000 0.885 0.370 (multiplicity 1)
P: 0.505 0.945 0.805 (multiplicity 1)
P: 0.510 0.445 0.287 (multiplicity 1)
P: 0.987 0.378 0.860 (multiplicity 1)
S: 0.330 0.391 0.853 (multiplicity 1)
S: 0.335 0.887 0.362 (multiplicity 1)
S: 0.368 0.592 0.143 (multiplicity 1)
S: 0.389 0.482 0.465 (multiplicity 1)
S: 0.393 0.088 0.653 (multiplicity 1)
S: 0.393 0.979 0.983 (multiplicity 1)
S: 0.394 0.761 0.768 (multiplicity 1)
S: 0.397 0.263 0.255 (multiplicity 1)
S: 0.835 0.454 0.282 (multiplicity 1)
S: 0.837 0.938 0.809 (multiplicity 1)
S: 0.879 0.556 0.901 (multiplicity 1)
S: 0.885 0.850 0.197 (multiplicity 1)
S: 0.893 0.227 0.010 (multiplicity 1)
S: 0.895 0.343 0.679 (multiplicity 1)
S: 0.895 0.732 0.520 (multiplicity 1)
S: 0.900 0.066 0.411 (multiplicity 1)

=====

The following is a theoretical powder diffractogram of Li10ZnP4S16. It was derived from DFT lattice parameters and positions (GGA-PBE), using Cu Kα X-rays.
Lines closer than 0.1° are merged.

Most intense lines, 2θ = 10–90°, in order of rising 2θ:
- 2θ 17.51, I = 69
- 2θ 18.14, I = 63
- 2θ 18.34, I = 45
- 2θ 26.12, I = 50
- 2θ 26.40, I = 58
- 2θ 27.44, I = 67
- 2θ 29.07, I = 100
- 2θ 30.02, I = 73
- 2θ 31.26, I = 37
- 2θ 45.59, I = 45

Structural model:
Lattice parameters (Å, degrees): 6.500 10.000 10.113 75.33 89.78 89.14
Space group P1 (No. 1)
Asymmetric unit:
Li: 0.000 0.000 0.000 (multiplicity 1)
Li: 0.002 0.522 0.478 (multiplicity 1)
Li: 0.348 0.503 0.002 (multiplicity 1)
Li: 0.358 0.248 0.742 (multiplicity 1)
Li: 0.383 0.019 0.484 (multiplicity 1)
Li: 0.515 0.880 0.882 (multiplicity 1)
Li: 0.532 0.394 0.358 (multiplicity 1)
Li: 0.651 0.817 0.240 (multiplicity 1)
Li: 0.816 0.378 0.859 (multiplicity 1)
Li: 0.988 0.242 0.243 (multiplicity 1)
Zn: 0.984 0.765 0.721 (multiplicity 1)
P: 0.477 0.640 0.605 (multiplicity 1)
P: 0.499 0.136 0.113 (multiplicity 1)
P: 0.855 0.622 0.102 (multiplicity 1)
P: 0.858 0.135 0.620 (multiplicity 1)
S: 0.008 0.684 0.249 (multiplicity 1)
S: 0.010 0.978 0.557 (multiplicity 1)
S: 0.334 0.684 0.776 (multiplicity 1)
S: 0.358 0.465 0.566 (multiplicity 1)
S: 0.358 0.965 0.080 (multiplicity 1)
S: 0.360 0.200 0.272 (multiplicity 1)
S: 0.433 0.798 0.440 (multiplicity 1)
S: 0.480 0.302 0.943 (multiplicity 1)
S: 0.550 0.600 0.155 (multiplicity 1)
S: 0.561 0.074 0.671 (multiplicity 1)
S: 0.789 0.590 0.660 (multiplicity 1)
S: 0.793 0.069 0.172 (multiplicity 1)
S: 0.868 0.799 0.931 (multiplicity 1)
S: 0.872 0.302 0.452 (multiplicity 1)
S: 0.985 0.456 0.049 (multiplicity 1)
S: 0.998 0.184 0.783 (multiplicity 1)